1.
# Ho11In6Si4
Simulated X-ray diffraction stick pattern, Cu Ka. Input: a structure optimized by DFT (GGA-PBE).

Structure:
Cell lengths 11.428, 11.428, 16.123 Å; angles 90.00, 90.00, 90.00 degrees
Space group I4/mmm (No. 139)
Asymmetric unit:
Ho: 0.000 0.000 0.170 [4 per cell]
Ho: 0.000 0.250 0.315 [16 per cell]
Ho: 0.000 0.348 0.101 [16 per cell]
Ho: 0.166 0.166 0.500 [8 per cell]
In: 0.129 0.129 0.000 [8 per cell]
In: 0.206 0.206 0.171 [16 per cell]
Si: 0.000 0.000 0.380 [4 per cell]
Si: 0.000 0.347 0.500 [8 per cell]
Si: 0.000 0.500 0.250 [4 per cell]

Main lines, low angle first (2θ from 10° to 90°):
2θ 24.01, 3.706 Å, intensity 11; 2θ 28.72, 3.108 Å, intensity 17; 2θ 32.81, 2.729 Å, intensity 100; 2θ 33.28, 2.692 Å, intensity 88; 2θ 35.17, 2.552 Å, intensity 19; 2θ 36.50, 2.461 Å, intensity 21; 2θ 43.01, 2.103 Å, intensity 12; 2θ 47.76, 1.904 Å, intensity 11; 2θ 54.14, 1.694 Å, intensity 13; 2θ 55.82, 1.647 Å, intensity 11; 2θ 57.03, 1.615 Å, intensity 15; 2θ 66.21, 1.412 Å, intensity 20

---

2.
# LiSmCu17
Simulated X-ray diffraction stick pattern, Cu Ka. Input: a structure optimized by DFT (GGA-PBE).

Structure:
Cell lengths 8.4889, 8.4889, 12.5029 Å; angles 90.00, 90.00, 120.00 degrees
Space group R3m (No. 160, hexagonal axes)
Asymmetric unit:
Li: 0.0000 0.0000 0.0000 [3 per cell]
Sm: 0.0000 0.0000 0.6831 [3 per cell]
Cu: 0.0000 0.0000 0.2401 [3 per cell]
Cu: 0.0000 0.0000 0.4355 [3 per cell]
Cu: 0.0358 0.3654 0.0076 [18 per cell]
Cu: 0.1679 0.3358 0.1759 [9 per cell]
Cu: 0.1685 0.3371 0.5198 [9 per cell]
Cu: 0.1701 0.3402 0.8273 [9 per cell]

Main lines, low angle first (2θ from 10° to 90°):
2θ 13.97, 6.337 Å, intensity 32; 2θ 18.63, 4.762 Å, intensity 16; 2θ 36.67, 2.451 Å, intensity 34; 2θ 37.78, 2.381 Å, intensity 28; 2θ 42.60, 2.122 Å, intensity 59; 2θ 42.81, 2.112 Å, intensity 100; 2θ 43.43, 2.084 Å, intensity 36; 2θ 43.79, 2.068 Å, intensity 20; 2θ 48.11, 1.891 Å, intensity 68; 2θ 48.68, 1.871 Å, intensity 19; 2θ 77.97, 1.225 Å, intensity 26; 2θ 79.27, 1.209 Å, intensity 19

---

3.
# KAcCd10
Simulated X-ray diffraction stick pattern, Cu Ka. Input: a structure optimized by DFT (GGA-PBE).

Structure:
Cell lengths 4.871, 6.126, 10.639 Å; angles 90.00, 90.00, 90.00 degrees
Space group Pmmm (No. 47)
Asymmetric unit:
K: 0.000 0.000 0.000 [1 per cell]
Ac: 0.000 0.500 0.500 [1 per cell]
Cd: 0.000 0.000 0.327 [2 per cell]
Cd: 0.000 0.500 0.162 [2 per cell]
Cd: 0.500 0.000 0.500 [1 per cell]
Cd: 0.500 0.260 0.265 [4 per cell]
Cd: 0.500 0.500 0.000 [1 per cell]

Main lines, low angle first (2θ from 10° to 90°):
2θ 16.69, 5.312 Å, intensity 13; 2θ 24.80, 3.590 Å, intensity 17; 2θ 29.12, 3.067 Å, intensity 20; 2θ 33.74, 2.656 Å, intensity 29; 2θ 34.56, 2.595 Å, intensity 100; 2θ 36.91, 2.436 Å, intensity 31; 2θ 38.61, 2.332 Å, intensity 33; 2θ 50.87, 1.795 Å, intensity 18; 2θ 55.23, 1.663 Å, intensity 16; 2θ 60.32, 1.535 Å, intensity 12; 2θ 65.00, 1.435 Å, intensity 17; 2θ 72.85, 1.298 Å, intensity 14